Record 1
Diffraction record for SrAl3Pt. The powder XRD pattern is simulated, not measured: it uses a PBE-relaxed structure and Cu Kα.

Most intense lines, 10° ≤ 2θ ≤ 90°, by angle:
d/Å	2theta	I/Imax	(hkl)
6.794	13.03	56	1 0 1
4.730	18.76	42	1 0 2
4.017	22.13	60	0 1 1
3.965	22.43	58	2 0 1
3.469	25.68	49	1 0 3
3.178	28.08	47	1 1 2
3.012	29.66	71	2 1 0
2.698	33.20	100	1 1 3
2.307	39.04	37	3 1 1
2.146	42.12	38	0 2 0

Crystal structure
```
data_SrAl3Pt
_chemical_formula_sum 'Sr4 Al12 Pt4'
_cell_length_a 8.456
_cell_length_b 4.291
_cell_length_c 11.412
_cell_angle_alpha 90.00
_cell_angle_beta 90.00
_cell_angle_gamma 90.00
_symmetry_space_group_name_H-M 'P n m a'
_symmetry_Int_Tables_number 62
_symmetry_space_group_name_Hall '-P 2ac 2n'
loop_
_atom_site_label
_atom_site_fract_x
_atom_site_fract_y
_atom_site_fract_z
Sr1 0.182 0.250 0.011
Al1 0.055 0.250 0.584
Al2 0.117 0.750 0.778
Al3 0.146 0.750 0.225
Pt1 0.107 0.250 0.358
```

=====

Record 2
Diffraction record for CaHfZnAs3. The powder XRD pattern is simulated, not measured: it uses a PBE-relaxed structure and Cu Kα.

Most intense lines, 10° ≤ 2θ ≤ 90°, by angle:
d/Å	2theta	I/Imax	(hkl)
6.698	13.22	100	1 0 -1
3.499	25.45	17	1 1 0
2.862	31.25	40	0 0 3
2.781	32.19	53	2 1 -1
2.757	32.47	67	2 1 0
2.357	38.19	39	1 1 -3
2.211	40.81	20	3 1 -1
1.961	46.31	26	0 2 0
1.872	48.64	30	2 1 -4
1.778	51.38	19	3 1 2

Crystal structure
```
data_CaHfZnAs3
_chemical_formula_sum 'Ca2 Hf2 Zn2 As6'
_cell_length_a 8.039
_cell_length_b 3.921
_cell_length_c 8.900
_cell_angle_alpha 90.00
_cell_angle_beta 105.24
_cell_angle_gamma 90.00
_symmetry_space_group_name_H-M 'P 1 21/m 1'
_symmetry_Int_Tables_number 11
_symmetry_space_group_name_Hall '-P 2yb'
loop_
_atom_site_label
_atom_site_fract_x
_atom_site_fract_y
_atom_site_fract_z
Ca1 0.198 0.250 0.236
Hf1 0.325 0.750 0.848
Zn1 0.089 0.250 0.592
As1 0.099 0.250 0.873
As2 0.256 0.750 0.525
As3 0.447 0.750 0.165
```

=====

Record 3
Diffraction record for Mg5SnHg. The powder XRD pattern is simulated, not measured: it uses a PBE-relaxed structure and Cu Kα.

Most intense lines, 10° ≤ 2θ ≤ 90°, by angle:
d/Å	2theta	I/Imax	(hkl)
4.283	20.74	53	0 2 0
4.144	21.44	100	1 1 -2
3.783	23.52	61	2 0 0
3.332	26.76	85	1 1 2
2.835	31.56	68	2 2 0
2.453	36.63	42	3 1 -2
2.445	36.76	78	1 3 -2
2.367	38.01	35	2 0 -4
2.241	40.24	36	1 3 2
2.100	43.07	27	0 2 4

Crystal structure
```
data_Mg5SnHg
_chemical_formula_sum 'Mg20 Sn4 Hg4'
_cell_length_a 7.906
_cell_length_b 8.565
_cell_length_c 10.072
_cell_angle_alpha 90.00
_cell_angle_beta 106.87
_cell_angle_gamma 90.00
_symmetry_space_group_name_H-M 'C 1 2/c 1'
_symmetry_Int_Tables_number 15
_symmetry_space_group_name_Hall '-C 2yc'
loop_
_atom_site_label
_atom_site_fract_x
_atom_site_fract_y
_atom_site_fract_z
Mg1 0.000 0.145 0.250
Mg2 0.108 0.339 0.532
Mg3 0.200 0.185 0.843
Sn1 0.000 0.498 0.250
Hg1 0.000 0.000 0.000
```

=====

Record 4
Diffraction record for CrTc3P3. The powder XRD pattern is simulated, not measured: it uses a PBE-relaxed structure and Cu Kα.

Most intense lines, 10° ≤ 2θ ≤ 90°, by angle:
d/Å	2theta	I/Imax	(hkl)
3.322	26.83	44	0 1 1
2.794	32.03	26	1 1 2
2.592	34.60	23	4 0 1
2.383	37.75	50	1 1 3
2.304	39.10	47	2 0 4
2.131	42.42	100	4 1 0
2.017	44.93	52	3 1 3
1.926	47.18	31	2 1 4
1.757	52.05	41	0 2 0
1.397	67.00	29	7 0 3

Crystal structure
```
data_CrTc3P3
_chemical_formula_sum 'Cr4 Tc12 P12'
_cell_length_a 10.721
_cell_length_b 3.514
_cell_length_c 10.205
_cell_angle_alpha 90.00
_cell_angle_beta 90.00
_cell_angle_gamma 90.00
_symmetry_space_group_name_H-M 'P n m a'
_symmetry_Int_Tables_number 62
_symmetry_space_group_name_Hall '-P 2ac 2n'
loop_
_atom_site_label
_atom_site_fract_x
_atom_site_fract_y
_atom_site_fract_z
Cr1 0.039 0.250 0.118
Tc1 0.060 0.250 0.670
Tc2 0.195 0.750 0.280
Tc3 0.223 0.750 0.003
P1 0.076 0.250 0.408
P2 0.107 0.250 0.893
P3 0.223 0.750 0.650
```

=====

Record 5
Diffraction record for Tb3SmAl2. The powder XRD pattern is simulated, not measured: it uses a PBE-relaxed structure and Cu Kα.

Most intense lines, 10° ≤ 2θ ≤ 90°, by angle:
d/Å	2theta	I/Imax	(hkl)
3.880	22.92	23	0 2 1
3.734	23.83	39	1 1 1
3.096	28.84	35	1 2 1
2.775	32.26	30	1 0 2
2.716	32.98	100	1 3 0
2.666	33.62	64	1 1 2
2.569	34.92	41	2 0 0
2.142	42.18	19	0 1 3
1.867	48.78	21	2 2 2
1.546	59.84	19	1 4 3

Crystal structure
```
data_Tb3SmAl2
_chemical_formula_sum 'Tb6 Sm2 Al4'
_cell_length_a 5.138
_cell_length_b 9.596
_cell_length_c 6.594
_cell_angle_alpha 90.00
_cell_angle_beta 90.00
_cell_angle_gamma 90.00
_symmetry_space_group_name_H-M 'P m c 21'
_symmetry_Int_Tables_number 26
_symmetry_space_group_name_Hall 'P 2c -2'
loop_
_atom_site_label
_atom_site_fract_x
_atom_site_fract_y
_atom_site_fract_z
Tb1 0.000 0.044 0.000
Tb2 0.000 0.321 0.344
Tb3 0.500 0.175 0.714
Sm1 0.500 0.457 0.059
Al1 0.000 0.352 0.821
Al2 0.500 0.145 0.236
```

=====

Record 6
Diffraction record for Cs2Hg4Au3. The powder XRD pattern is simulated, not measured: it uses a PBE-relaxed structure and Cu Kα.

Most intense lines, 10° ≤ 2θ ≤ 90°, by angle:
d/Å	2theta	I/Imax	(hkl)
6.488	13.65	26	0 2 1
3.179	28.07	24	0 6 0
3.091	28.88	87	1 5 1
2.994	29.84	36	0 6 1
2.925	30.56	52	2 2 1
2.818	31.76	31	0 2 3
2.633	34.05	100	2 0 2
2.306	39.07	31	2 4 2
2.211	40.81	37	0 0 4
1.854	49.13	30	3 5 1

Crystal structure
```
data_Cs2Hg4Au3
_chemical_formula_sum 'Cs8 Hg16 Au12'
_cell_length_a 6.555
_cell_length_b 19.091
_cell_length_c 8.847
_cell_angle_alpha 90.00
_cell_angle_beta 90.00
_cell_angle_gamma 90.00
_symmetry_space_group_name_H-M 'C m c e'
_symmetry_Int_Tables_number 64
_symmetry_space_group_name_Hall '-C 2ac 2'
loop_
_atom_site_label
_atom_site_fract_x
_atom_site_fract_y
_atom_site_fract_z
Cs1 0.000 0.108 0.113
Hg1 0.000 0.212 0.480
Hg2 0.250 0.064 0.750
Au1 0.000 0.000 0.500
Au2 0.250 0.218 0.750
```

=====

Record 7
Diffraction record for LaSi2IrPd2. The powder XRD pattern is simulated, not measured: it uses a PBE-relaxed structure and Cu Kα.

Most intense lines, 10° ≤ 2θ ≤ 90°, by angle:
d/Å	2theta	I/Imax	(hkl)
3.258	27.37	91	1 1 0
2.406	37.37	100	1 0 2
2.304	39.10	54	2 0 0
1.664	55.20	65	2 1 2
1.629	56.48	18	2 2 0
1.457	63.88	18	3 1 0
1.349	69.70	17	3 0 2
1.295	73.10	11	1 1 4
1.203	79.70	13	2 0 4
1.164	82.94	21	3 2 2

Crystal structure
```
data_LaSi2IrPd2
_chemical_formula_sum 'La1 Si2 Ir1 Pd2'
_cell_length_a 4.608
_cell_length_b 4.608
_cell_length_c 5.643
_cell_angle_alpha 90.00
_cell_angle_beta 90.00
_cell_angle_gamma 90.00
_symmetry_space_group_name_H-M 'P 4/m m m'
_symmetry_Int_Tables_number 123
_symmetry_space_group_name_Hall '-P 4 2'
loop_
_atom_site_label
_atom_site_fract_x
_atom_site_fract_y
_atom_site_fract_z
La1 0.000 0.000 0.000
Si1 0.000 0.500 0.500
Ir1 0.000 0.000 0.500
Pd1 0.500 0.500 0.248
```

=====

Record 8
Diffraction record for RbV5Te8. The powder XRD pattern is simulated, not measured: it uses a PBE-relaxed structure and Cu Kα.

Most intense lines, 10° ≤ 2θ ≤ 90°, by angle:
d/Å	2theta	I/Imax	(hkl)
3.153	28.31	37	0 0 3
3.070	29.09	100	3 1 1
3.048	29.30	49	6 0 -2
2.933	30.48	66	3 1 -2
2.875	31.10	33	6 0 1
2.603	34.46	29	3 1 2
2.467	36.42	29	3 1 -3
2.176	41.50	18	3 1 3
1.983	45.76	27	0 2 0
1.949	46.59	49	9 1 -1

Crystal structure
```
data_RbV5Te8
_chemical_formula_sum 'Rb2 V10 Te16'
_cell_length_a 20.146
_cell_length_b 3.966
_cell_length_c 9.744
_cell_angle_alpha 90.00
_cell_angle_beta 103.92
_cell_angle_gamma 90.00
_symmetry_space_group_name_H-M 'C 1 m 1'
_symmetry_Int_Tables_number 8
_symmetry_space_group_name_Hall 'C -2y'
loop_
_atom_site_label
_atom_site_fract_x
_atom_site_fract_y
_atom_site_fract_z
Rb1 0.000 0.000 0.000
V1 0.001 0.500 0.500
V2 0.152 0.000 0.500
V3 0.208 0.000 0.834
V4 0.293 0.500 0.167
V5 0.348 0.500 0.500
Te1 0.070 0.000 0.677
Te2 0.090 0.500 0.326
Te3 0.166 0.500 0.991
Te4 0.241 0.500 0.653
Te5 0.259 0.000 0.348
Te6 0.335 0.000 0.009
Te7 0.411 0.000 0.674
Te8 0.431 0.500 0.324
```

=====

Record 9
Diffraction record for Dy3Tc8W. The powder XRD pattern is simulated, not measured: it uses a PBE-relaxed structure and Cu Kα.

Most intense lines, 10° ≤ 2θ ≤ 90°, by angle:
d/Å	2theta	I/Imax	(hkl)
2.711	33.04	88	1 -1 0
2.659	33.71	81	1 2 1
2.618	34.25	76	1 0 3
2.314	38.91	89	1 2 -1
2.307	39.04	100	2 0 0
2.293	39.28	97	1 -1 2
2.287	39.39	93	1 0 -3
2.213	40.78	84	2 1 3
2.196	41.11	85	1 1 4
2.173	41.56	64	2 0 2

Crystal structure
```
data_Dy3Tc8W
_chemical_formula_sum 'Dy3 Tc8 W1'
_cell_length_a 5.322
_cell_length_b 5.329
_cell_length_c 8.977
_cell_angle_alpha 75.87
_cell_angle_beta 75.72
_cell_angle_gamma 61.20
_symmetry_space_group_name_H-M 'P 1'
_symmetry_Int_Tables_number 1
_symmetry_space_group_name_Hall 'P 1'
loop_
_atom_site_label
_atom_site_fract_x
_atom_site_fract_y
_atom_site_fract_z
Dy1 0.000 0.000 0.000
Dy2 0.145 0.143 0.620
Dy3 0.522 0.520 0.495
Tc1 0.073 0.569 0.812
Tc2 0.076 0.583 0.304
Tc3 0.081 0.079 0.296
Tc4 0.319 0.320 0.060
Tc5 0.569 0.073 0.812
Tc6 0.576 0.576 0.843
Tc7 0.585 0.074 0.304
Tc8 0.833 0.832 0.565
W1 0.617 0.617 0.127
```

=====

Record 10
Diffraction record for Er3Co3Si8. The powder XRD pattern is simulated, not measured: it uses a PBE-relaxed structure and Cu Kα.

Most intense lines, 10° ≤ 2θ ≤ 90°, by angle:
d/Å	2theta	I/Imax	(hkl)
4.698	18.89	29	0 2 0
3.702	24.04	37	1 1 0
3.478	25.61	32	0 1 3
2.742	32.65	33	1 0 3
2.473	36.33	35	1 3 0
2.402	37.43	28	0 3 3
2.368	37.99	100	1 2 3
2.349	38.31	18	0 4 0
2.014	45.01	25	2 0 0
1.544	59.92	16	2 3 3

Crystal structure
```
data_Er3Co3Si8
_chemical_formula_sum 'Er6 Co6 Si16'
_cell_length_a 4.028
_cell_length_b 9.397
_cell_length_c 11.232
_cell_angle_alpha 90.00
_cell_angle_beta 90.00
_cell_angle_gamma 90.00
_symmetry_space_group_name_H-M 'I m m m'
_symmetry_Int_Tables_number 71
_symmetry_space_group_name_Hall '-I 2 2'
loop_
_atom_site_label
_atom_site_fract_x
_atom_site_fract_y
_atom_site_fract_z
Er1 0.000 0.000 0.000
Er2 0.000 0.000 0.318
Co1 0.000 0.226 0.500
Co2 0.000 0.500 0.000
Si1 0.000 0.293 0.117
Si2 0.000 0.367 0.336
```

=====

Record 11
Diffraction record for NpHgRu. The powder XRD pattern is simulated, not measured: it uses a PBE-relaxed structure and Cu Kα.

Most intense lines, 10° ≤ 2θ ≤ 90°, by angle:
d/Å	2theta	I/Imax	(hkl)
2.952	30.28	53	1 0 3
2.636	34.01	19	0 0 10
2.409	37.33	100	1 0 7
2.216	40.72	51	1 1 0
1.696	54.06	21	1 1 10
1.567	58.95	18	2 0 0
1.390	67.37	10	1 0 17
1.384	67.70	12	2 1 3
1.347	69.83	10	2 0 10
1.313	71.88	30	2 1 7

Crystal structure
```
data_NpHgRu
_chemical_formula_sum 'Np4 Hg4 Ru4'
_cell_length_a 3.134
_cell_length_b 3.134
_cell_length_c 26.363
_cell_angle_alpha 90.00
_cell_angle_beta 90.00
_cell_angle_gamma 90.00
_symmetry_space_group_name_H-M 'I 4/m m m'
_symmetry_Int_Tables_number 139
_symmetry_space_group_name_Hall '-I 4 2'
loop_
_atom_site_label
_atom_site_fract_x
_atom_site_fract_y
_atom_site_fract_z
Np1 0.000 0.000 0.152
Hg1 0.000 0.000 0.444
Ru1 0.000 0.000 0.284
```

=====

Record 12
Diffraction record for CsNiAs2S8. The powder XRD pattern is simulated, not measured: it uses a PBE-relaxed structure and Cu Kα.

Most intense lines, 10° ≤ 2θ ≤ 90°, by angle:
d/Å	2theta	I/Imax	(hkl)
4.258	20.86	100	1 0 4
3.850	23.10	19	0 0 9
3.242	27.51	30	0 1 8
2.824	31.68	41	1 1 0
2.742	32.65	14	1 1 3
2.536	35.39	13	2 -1 6
2.353	38.25	29	0 2 4
1.807	50.49	21	3 -1 4
1.630	56.46	16	3 0 0
1.590	57.99	13	1 1 18

Crystal structure
```
data_CsNiAs2S8
_chemical_formula_sum 'Cs3 Ni3 As6 S24'
_cell_length_a 5.6461
_cell_length_b 5.6461
_cell_length_c 34.6473
_cell_angle_alpha 90.00
_cell_angle_beta 90.00
_cell_angle_gamma 120.00
_symmetry_space_group_name_H-M 'R -3'
_symmetry_Int_Tables_number 148
_symmetry_space_group_name_Hall '-R 3'
loop_
_atom_site_label
_atom_site_fract_x
_atom_site_fract_y
_atom_site_fract_z
Cs1 0.0000 0.0000 0.0000
Ni1 0.0000 0.0000 0.5000
As1 0.0000 0.0000 0.2289
S1 0.0000 0.0000 0.2901
S2 0.0097 0.6226 0.7926
```

=====

Repeat the third record exactly.
Diffraction record for Mg5SnHg. The powder XRD pattern is simulated, not measured: it uses a PBE-relaxed structure and Cu Kα.

Most intense lines, 10° ≤ 2θ ≤ 90°, by angle:
d/Å	2theta	I/Imax	(hkl)
4.283	20.74	53	0 2 0
4.144	21.44	100	1 1 -2
3.783	23.52	61	2 0 0
3.332	26.76	85	1 1 2
2.835	31.56	68	2 2 0
2.453	36.63	42	3 1 -2
2.445	36.76	78	1 3 -2
2.367	38.01	35	2 0 -4
2.241	40.24	36	1 3 2
2.100	43.07	27	0 2 4

Crystal structure
```
data_Mg5SnHg
_chemical_formula_sum 'Mg20 Sn4 Hg4'
_cell_length_a 7.906
_cell_length_b 8.565
_cell_length_c 10.072
_cell_angle_alpha 90.00
_cell_angle_beta 106.87
_cell_angle_gamma 90.00
_symmetry_space_group_name_H-M 'C 1 2/c 1'
_symmetry_Int_Tables_number 15
_symmetry_space_group_name_Hall '-C 2yc'
loop_
_atom_site_label
_atom_site_fract_x
_atom_site_fract_y
_atom_site_fract_z
Mg1 0.000 0.145 0.250
Mg2 0.108 0.339 0.532
Mg3 0.200 0.185 0.843
Sn1 0.000 0.498 0.250
Hg1 0.000 0.000 0.000
```